Ba2HgS3: simulated X-ray powder pattern (Cu Ka), based on a DFT-relaxed cell (PBE, the Materials Project).

Principal peaks in the range 2θ from 10° to 90°, in order of falling intensity:
| 2theta | I (rel.) | hkl |
| --- | --- | --- |
| 28.24 | 100.0 | 2 1 0 |
| 25.30 | 96.4 | 0 1 3 |
| 27.22 | 89.1 | 1 0 5 |
| 32.22 | 65.3 | 1 0 6 |
| 31.30 | 53.0 | 3 0 2 |
| 40.94 | 52.9 | 0 2 0 |

Crystal structure
```
data_Ba2HgS3
_chemical_formula_sum 'Ba8 Hg4 S12'
_cell_length_a 9.068
_cell_length_b 4.409
_cell_length_c 17.538
_cell_angle_alpha 90.00
_cell_angle_beta 90.00
_cell_angle_gamma 90.00
_space_group_name_H-M_alt 'P 1'
_space_group_IT_number 1
loop_
_space_group_symop_operation_xyz
'x,y,z'
loop_
_atom_site_label
_atom_site_type_symbol
_atom_site_fract_x
_atom_site_fract_y
_atom_site_fract_z
Ba1 Ba 0.078 0.250 0.216
Ba2 Ba 0.240 0.250 0.961
Ba3 Ba 0.260 0.750 0.461
Ba4 Ba 0.422 0.750 0.716
Ba5 Ba 0.578 0.250 0.284
Ba6 Ba 0.740 0.250 0.539
Ba7 Ba 0.760 0.750 0.039
Ba8 Ba 0.922 0.750 0.784
Hg1 Hg 0.124 0.250 0.633
Hg2 Hg 0.376 0.750 0.133
Hg3 Hg 0.624 0.250 0.867
Hg4 Hg 0.876 0.750 0.367
S1 S 0.017 0.250 0.404
S2 S 0.118 0.750 0.072
S3 S 0.185 0.250 0.778
S4 S 0.315 0.750 0.278
S5 S 0.382 0.250 0.572
S6 S 0.483 0.750 0.904
S7 S 0.517 0.250 0.096
S8 S 0.618 0.750 0.428
S9 S 0.685 0.250 0.722
S10 S 0.815 0.750 0.222
S11 S 0.882 0.250 0.928
S12 S 0.983 0.750 0.596
```